Entry 1:
Diffraction record for Ti4InPt5. The powder diffractogram is simulated, not measured: it uses a structure optimized by DFT (PBE) and a wavelength of 1.5418 Å.
Peak positions follow from Bragg's law for the DFT cell and can differ from measured ones.

Most intense lines, 2θ from 15° to 90°, by intensity:
2θ (°), intensity
40.00, 100
37.87, 100
43.32, 68
23.94, 49
67.45, 36
49.01, 28
31.56, 25
78.59, 24
28.90, 24
50.09, 22

Cell and atoms:
Cell: 2.835 3.717 15.447 Å, 90.00 90.00 90.00°
Space group Pmmm (No. 47)
One atom of each set of equivalent atoms:
Ti1 0.000 0.000 0.095 (multiplicity 2)
Ti2 0.000 0.000 0.290 (multiplicity 2)
In1 0.000 0.000 0.500 (multiplicity 1)
Pt1 0.500 0.500 0.000 (multiplicity 1)
Pt2 0.500 0.500 0.190 (multiplicity 2)
Pt3 0.500 0.500 0.381 (multiplicity 2)

***

Entry 2:
Diffraction record for U2InPt2. The powder diffractogram is simulated, not measured: it uses a structure optimized by DFT (PBE) and a wavelength of 1.5418 Å.
Peak positions follow from Bragg's law for the DFT cell and can differ from measured ones.

Most intense lines, 2θ from 15° to 90°, by intensity:
2θ (°), intensity
35.79, 100
36.54, 40
70.16, 16
33.82, 15
16.12, 14
54.88, 12
63.83, 12
50.38, 11
72.28, 9
49.74, 9

Cell and atoms:
Cell: 7.777 7.777 7.244 Å, 90.00 90.00 90.00°
Space group P4_2/mnm (No. 136)
One atom of each set of equivalent atoms:
U1 0.149 0.149 0.000 (multiplicity 4)
U2 0.184 0.184 0.500 (multiplicity 4)
In1 0.000 0.500 0.250 (multiplicity 4)
Pt1 0.135 0.865 0.283 (multiplicity 8)

***

Entry 3:
Diffraction record for InPtW2. The powder diffractogram is simulated, not measured: it uses a structure optimized by DFT (PBE) and a wavelength of 1.5418 Å.
Peak positions follow from Bragg's law for the DFT cell and can differ from measured ones.

Most intense lines, 2θ from 15° to 90°, by intensity:
2θ (°), intensity
38.48, 100
46.58, 29
80.94, 24
63.63, 23
40.81, 21
72.75, 16
82.44, 11
68.00, 9
24.96, 4
88.43, 2

Cell and atoms:
Cell: 3.900 3.900 8.844 Å, 90.00 90.00 90.00°
Space group I4/mmm (No. 139)
One atom of each set of equivalent atoms:
In1 0.000 0.000 0.000 (multiplicity 2)
Pt1 0.000 0.000 0.500 (multiplicity 2)
W1 0.000 0.500 0.250 (multiplicity 4)

***

Entry 4:
Diffraction record for Y3In7Pt4. The powder diffractogram is simulated, not measured: it uses a structure optimized by DFT (PBE) and a wavelength of 1.5418 Å.
Peak positions follow from Bragg's law for the DFT cell and can differ from measured ones.

Most intense lines, 2θ from 15° to 90°, by intensity:
2θ (°), intensity
33.69, 100
32.63, 87
41.01, 85
40.67, 55
41.63, 47
33.98, 43
32.97, 40
39.54, 39
38.76, 32
36.05, 31

Cell and atoms:
Cell: 16.757 4.402 10.373 Å, 90.00 125.31 90.00°
Space group C2/m (No. 12)
One atom of each set of equivalent atoms:
Y1 0.000 0.000 0.000 (multiplicity 2)
Y2 0.196 0.500 0.708 (multiplicity 4)
In1 0.000 0.000 0.500 (multiplicity 2)
In2 0.009 0.500 0.293 (multiplicity 4)
In3 0.164 0.000 0.429 (multiplicity 4)
In4 0.182 0.500 0.024 (multiplicity 4)
Pt1 0.117 0.000 0.831 (multiplicity 4)
Pt2 0.160 0.500 0.260 (multiplicity 4)

***

Entry 5:
Diffraction record for Y8InPt2. The powder diffractogram is simulated, not measured: it uses a structure optimized by DFT (PBE) and a wavelength of 1.5418 Å.
Peak positions follow from Bragg's law for the DFT cell and can differ from measured ones.

Most intense lines, 2θ from 15° to 90°, by intensity:
2θ (°), intensity
37.62, 100
32.45, 77
33.80, 69
31.39, 69
37.38, 59
16.80, 48
20.83, 42
33.98, 40
29.62, 40
21.34, 38

Cell and atoms:
Cell: 8.816 13.546 5.455 Å, 90.00 104.65 90.00°
Space group C2/m (No. 12)
One atom of each set of equivalent atoms:
Y1 0.000 0.245 0.000 (multiplicity 4)
Y2 0.110 0.500 0.804 (multiplicity 4)
Y3 0.202 0.126 0.577 (multiplicity 8)
In1 0.000 0.000 0.000 (multiplicity 2)
Pt1 0.000 0.306 0.500 (multiplicity 4)

***

Entry 6:
Diffraction record for Y6In3Pt. The powder diffractogram is simulated, not measured: it uses a structure optimized by DFT (PBE) and a wavelength of 1.5418 Å.
Peak positions follow from Bragg's law for the DFT cell and can differ from measured ones.

Most intense lines, 2θ from 15° to 90°, by intensity:
2θ (°), intensity
32.28, 100
34.25, 96
35.55, 61
32.07, 30
48.63, 18
35.79, 17
63.02, 16
31.18, 15
61.80, 15
60.22, 14

Cell and atoms:
Cell: 9.966 5.050 11.542 Å, 90.00 109.37 90.00°
Space group P2_1/m (No. 11)
One atom of each set of equivalent atoms:
Y1 0.043 0.250 0.409 (multiplicity 2)
Y2 0.154 0.750 0.192 (multiplicity 2)
Y3 0.246 0.250 0.020 (multiplicity 2)
Y4 0.379 0.250 0.352 (multiplicity 2)
Y5 0.388 0.750 0.865 (multiplicity 2)
Y6 0.391 0.250 0.650 (multiplicity 2)
In1 0.046 0.750 0.887 (multiplicity 2)
In2 0.131 0.250 0.731 (multiplicity 2)
In3 0.277 0.750 0.488 (multiplicity 2)
Pt1 0.398 0.750 0.117 (multiplicity 2)

***

Entry 7:
Diffraction record for Y6In2Pt. The powder diffractogram is simulated, not measured: it uses a structure optimized by DFT (PBE) and a wavelength of 1.5418 Å.
Peak positions follow from Bragg's law for the DFT cell and can differ from measured ones.

Most intense lines, 2θ from 15° to 90°, by intensity:
2θ (°), intensity
33.21, 100
39.28, 68
35.70, 63
30.95, 62
58.44, 43
31.37, 37
20.39, 27
60.46, 27
47.08, 20
55.85, 17

Cell and atoms:
Cell: 3.860 15.080 8.716 Å, 90.00 90.00 90.00°
Space group Amm2 (No. 38)
One atom of each set of equivalent atoms:
Y1 0.000 0.000 0.000 (multiplicity 2)
Y2 0.000 0.123 0.630 (multiplicity 4)
Y3 0.500 0.000 0.357 (multiplicity 2)
Y4 0.500 0.198 0.951 (multiplicity 4)
In1 0.000 0.167 0.253 (multiplicity 4)
Pt1 0.500 0.000 0.754 (multiplicity 2)

***

Entry 8:
Diffraction record for ZnIn4Pt. The powder diffractogram is simulated, not measured: it uses a structure optimized by DFT (PBE) and a wavelength of 1.5418 Å.
Peak positions follow from Bragg's law for the DFT cell and can differ from measured ones.

Most intense lines, 2θ from 15° to 90°, by intensity:
2θ (°), intensity
35.56, 100
37.20, 37
57.16, 33
30.19, 29
62.77, 27
75.28, 14
53.62, 12
74.28, 11
18.35, 9
21.22, 7

Cell and atoms:
Cell: 8.373 8.373 8.373 Å, 90.00 90.00 90.00°
Space group F-43m (No. 216)
One atom of each set of equivalent atoms:
Zn1 0.000 0.000 0.000 (multiplicity 4)
In1 0.125 0.125 0.625 (multiplicity 16)
Pt1 0.250 0.250 0.250 (multiplicity 4)